[1]
Pr2VFeO6: simulated powder diffraction line list (Cu Ka), based on a cell relaxed with PBE+U.
Kinematic intensities with the Lorentz-polarization factor, no thermal factor.

Crystal structure
```
Pr2VFeO6
1.0
5.5272 0.0000 0.0000
0.0000 5.6861 0.0000
-5.5217 0.0000 7.9281
Pr V Fe O
4 2 2 12
Cartesian
-0.0695 0.3078 1.9834
-2.8303 2.5352 5.9475
2.8358 3.1508 1.9807
0.0750 5.3783 5.9448
2.7636 0.0000 0.0000
0.0028 2.8430 3.9641
-2.7608 0.0000 3.9641
0.0000 2.8430 0.0000
-4.4039 1.1811 7.5532
-1.6431 1.6619 3.5891
-3.8861 4.0227 7.5570
-1.1252 4.5064 3.5930
-2.2632 0.1415 5.9335
0.4976 2.7015 1.9694
-0.4921 2.9846 5.9587
2.2687 5.5445 1.9947
1.1307 1.1797 4.3352
3.8916 1.6633 0.3711
1.6486 4.0242 4.3390
4.4095 4.5050 0.3749
```

Largest 6 diffraction maxima, by angle, 2θ = 10–80°:
- 22.43 deg, I 28.4
- 31.47 deg, I 20.4
- 31.93 deg, I 100.0
- 32.40 deg, I 24.6
- 45.78 deg, I 37.8
- 57.49 deg, I 22.2

***

[2]
Rb5Fe3O6: simulated powder diffraction line list (Cu Ka), based on a cell relaxed with PBE+U.
Kinematic intensities with the Lorentz-polarization factor, no thermal factor.

Crystal structure
```
Rb5Fe3O6
1.0
-4.4156 4.4156 7.5611
4.4156 -4.4156 7.5611
4.4156 4.4156 -7.5611
Rb Fe O
10 6 12
Cartesian
0.0000 0.0000 0.0000
2.2078 -1.9002 5.6708
0.0000 0.0000 3.6801
2.5154 2.2078 1.8903
0.0000 4.4156 0.1005
2.2078 6.3158 -1.8903
0.0000 4.4156 3.7805
0.0000 0.0000 11.4421
1.9002 2.2078 9.4514
0.0000 4.4156 7.4606
2.2078 2.1208 -1.8903
4.4156 0.0000 3.7805
2.2948 -2.2078 9.4514
0.0000 0.0000 7.5611
2.2078 2.2948 5.6708
2.1208 6.6234 1.8903
3.0282 -0.6771 2.6539
5.0927 -1.3874 4.9072
5.8030 0.6771 2.6539
3.7385 3.0282 -1.1267
-0.2413 2.2078 1.8903
3.7385 1.3874 4.9072
1.3874 -0.6771 8.6878
0.6771 1.3874 6.4344
3.0282 5.0927 1.1267
2.2078 4.1743 5.6708
0.2413 6.6234 1.8903
-2.2078 4.6569 5.6708
```

Largest 6 diffraction maxima, by angle, 2θ = 10–80°:
- 28.59 deg, I 52.0
- 31.14 deg, I 100.0
- 40.88 deg, I 23.2
- 52.27 deg, I 39.8
- 56.95 deg, I 15.2
- 64.95 deg, I 11.8

***

[3]
Rb5FeO4: simulated powder diffraction line list (Cu Ka), based on a cell relaxed with PBE+U.
Kinematic intensities with the Lorentz-polarization factor, no thermal factor.

Crystal structure
```
Rb5FeO4
1.0
8.0639 0.0000 0.0000
0.0000 8.8508 0.0000
0.0000 0.0000 6.6581
Rb Fe O
10 2 8
Cartesian
0.0914 0.5204 1.5833
0.0914 3.9050 1.5833
2.0160 6.6381 2.3431
3.9406 0.5204 1.5833
3.9406 3.9050 1.5833
4.1233 4.9458 5.0747
4.1233 8.3304 5.0747
6.0479 2.2127 4.3150
7.9725 4.9458 5.0747
7.9725 8.3304 5.0747
2.0160 2.2127 4.7152
6.0479 6.6381 1.9429
0.3698 2.2127 5.7732
2.0160 0.5622 3.6450
2.0160 3.8632 3.6450
3.6621 2.2127 5.7732
4.4018 6.6381 0.8849
6.0479 4.9876 3.0131
6.0479 8.2886 3.0131
7.6940 6.6381 0.8849
```

Largest 6 diffraction maxima, by angle, 2θ = 10–80°:
- 26.78 deg, I 67.0
- 27.76 deg, I 85.6
- 29.98 deg, I 77.5
- 33.21 deg, I 100.0
- 34.95 deg, I 38.5
- 40.63 deg, I 64.8

***

[4]
Rb4FeO4: simulated powder diffraction line list (Cu Ka), based on a cell relaxed with PBE+U.
Kinematic intensities with the Lorentz-polarization factor, no thermal factor.

Crystal structure
```
Rb4FeO4
1.0
11.2233 0.0000 0.0000
0.0000 6.8686 0.0000
-3.7984 0.0000 10.2054
Rb Fe O
16 4 16
Cartesian
-0.0498 0.5758 2.0871
-1.9490 2.8585 7.1898
1.4932 4.2385 0.7523
-0.4060 6.0644 5.8550
0.8274 4.6732 9.1593
2.7266 5.6298 4.0566
1.6410 1.2840 8.0192
3.5402 2.1503 2.9165
3.8847 4.7183 7.2889
5.7839 5.5846 2.1862
4.6983 1.2389 6.1488
6.5975 2.1954 1.0461
7.8309 0.8042 4.3504
5.9317 2.6301 9.4531
9.3739 4.0101 3.0156
7.4747 6.2928 8.1183
-1.0632 0.8525 10.0711
0.8360 2.5818 4.9684
6.5889 4.2868 5.2370
8.4882 6.0161 0.1343
-2.7038 1.6343 9.8398
-0.8046 1.8001 4.7371
0.9760 3.6251 3.4527
-0.9232 6.6778 8.5554
1.2545 3.6981 6.3942
3.1537 6.6048 1.2915
1.9442 1.1167 5.2159
3.8434 2.3176 0.1132
3.5815 4.5510 10.0922
5.4807 5.7520 4.9895
4.2712 0.2638 8.9139
6.1704 3.1705 3.8112
8.3481 0.1908 1.6500
6.4489 3.2435 6.7526
8.2295 5.0686 5.4683
10.1287 5.2344 0.3656
```

Largest 6 diffraction maxima, by angle, 2θ = 10–80°:
- 28.30 deg, I 59.3
- 28.50 deg, I 65.1
- 28.90 deg, I 48.2
- 29.62 deg, I 100.0
- 34.67 deg, I 38.1
- 35.67 deg, I 57.1

***

[5]
RbFeO3: simulated powder diffraction line list (Cu Ka), based on a cell relaxed with PBE+U.
Kinematic intensities with the Lorentz-polarization factor, no thermal factor.

Crystal structure
```
RbFeO3
1.0
4.0454 0.0000 0.0000
0.0000 4.0454 0.0000
0.0000 0.0000 4.0454
Rb Fe O
1 1 3
Cartesian
0.0000 0.0000 0.0000
2.0227 2.0227 2.0227
0.0000 2.0227 2.0227
2.0227 0.0000 2.0227
2.0227 2.0227 0.0000
```

Largest 6 diffraction maxima, by angle, 2θ = 10–80°:
- 31.27 deg, I 100.0
- 38.55 deg, I 13.0
- 44.81 deg, I 39.7
- 55.65 deg, I 38.1
- 65.23 deg, I 22.9
- 74.12 deg, I 16.2